Computed powder diffraction line list
Compound: CsLaB6C6
Radiation: Cu Kα
Structure: a structure optimized by DFT (PBE)
Peak positions follow from Bragg's law for the DFT cell and can differ from measured ones.

Largest 6 diffraction maxima, by intensity, 10 to 90 degrees two-theta:
two_theta  intensity
25.24  1000
44.47  774
70.62  378
35.99  362
58.48  214
51.81  152

Atomic structure:
Cell lengths 4.9907, 4.9907, 4.9907 Å; angles 90.00, 90.00, 90.00 degrees
Sites, in units of the cell vectors:
Cs  0.0000  0.0000  0.0000
La  0.5000  0.5000  0.5000
B  0.0000  0.2504  0.5000
B  0.0000  0.7496  0.5000
B  0.2504  0.5000  0.0000
B  0.5000  0.0000  0.2504
B  0.5000  0.0000  0.7496
B  0.7496  0.5000  0.0000
C  0.0000  0.5000  0.2607
C  0.0000  0.5000  0.7393
C  0.2607  0.0000  0.5000
C  0.5000  0.2607  0.0000
C  0.5000  0.7393  0.0000
C  0.7393  0.0000  0.5000